The following is a computed powder XRD pattern of NaMoAsO6. It was derived from a DFT-relaxed cell (PBE+U, the Materials Project), using Cu Kα (λ = 1.5418 Å).
Lines closer than 0.1° are merged.

```
data_NaMoAsO6
_chemical_formula_sum 'Na4 Mo4 As4 O24'
_cell_length_a 6.6517
_cell_length_b 7.5992
_cell_length_c 10.2887
_cell_angle_alpha 90.00
_cell_angle_beta 90.00
_cell_angle_gamma 90.00
_symmetry_space_group_name_H-M 'P 21 21 21'
_symmetry_Int_Tables_number 19
_symmetry_space_group_name_Hall 'P 2ac 2ab'
loop_
_atom_site_label
_atom_site_fract_x
_atom_site_fract_y
_atom_site_fract_z
Na1 0.0135 0.1289 0.4878
Mo1 0.2451 0.6987 0.6768
As1 0.2477 0.7098 0.3398
O1 0.0460 0.8540 0.3392
O2 0.0476 0.1477 0.8349
O3 0.2437 0.4149 0.9772
O4 0.2436 0.9089 0.6087
O5 0.2448 0.5907 0.1985
O6 0.2504 0.2577 0.3442
```

Most intense lines, 2θ from 15° to 90°, by angle:
hkl 0 0 2, 17.2 deg, I 38
hkl 1 1 0, 17.7 deg, I 34
hkl 0 2 0, 23.4 deg, I 57
hkl 2 0 0, 26.8 deg, I 65
hkl 0 1 3, 28.6 deg, I 100
hkl 2 1 1, 30.6 deg, I 41
hkl 2 0 2, 32.0 deg, I 24
hkl 2 2 0, 35.9 deg, I 28
hkl 2 1 3, 39.6 deg, I 27
hkl 1 4 3, 57.1 deg, I 25